Theoretical XRD peak list
Compound: PaMn4Cu3O12
Radiation: CuKα
Structure: the GGA+U geometry in Alexandria
Peak positions follow from Bragg's law for the DFT cell and can differ from measured ones.

Main lines, in order of rising 2θ (10 to 90 degrees two-theta):
Position (°2θ), I_rel, h k l
16.8, 40, 1 1 0
23.9, 11, 2 0 0
29.3, 13, 2 1 1
34.0, 100, 2 2 0
38.1, 15, 3 0 1
42.0, 9, 2 2 2
45.5, 18, 3 1 2
48.8, 26, 4 0 0
60.8, 47, 4 2 2
63.6, 7, 4 1 3
71.5, 13, 4 4 0
81.6, 16, 6 2 0

Crystal structure
```
data_PaMn4Cu3O12
_chemical_formula_sum 'Pa2 Mn8 Cu6 O24'
_symmetry_space_group_name_H-M 'I m -3'
_symmetry_Int_Tables_number 204
_symmetry_space_group_name_Hall '-I 2 2 3'
_cell_length_a 7.460
_cell_length_b 7.460
_cell_length_c 7.460
_cell_angle_alpha 90.00
_cell_angle_beta 90.00
_cell_angle_gamma 90.00
loop_
_atom_site_label
_atom_site_fract_x
_atom_site_fract_y
_atom_site_fract_z
Pa1 0.000 0.000 0.000
Mn1 0.250 0.250 0.250
Cu1 0.000 0.000 0.500
O1 0.000 0.292 0.169
```